Entry 1:
Computed powder diffractogram of AcZnTe2 for CuKα, from a crystal structure in Alexandria, relaxed with PBE.

Structure:
a b c (Å): 4.8257 4.8257 27.0631
angles (deg): 90.00 90.00 120.00
Sites, in units of the cell vectors:
Ac1 0.0000 0.0000 0.0000
Ac2 0.3333 0.6667 0.6667
Ac3 0.6667 0.3333 0.3333
Zn1 0.0000 0.0000 0.5000
Zn2 0.3333 0.6667 0.1667
Zn3 0.6667 0.3333 0.8333
Te1 0.0000 0.0000 0.4018
Te2 0.0000 0.0000 0.5982
Te3 0.3333 0.6667 0.0684
Te4 0.3333 0.6667 0.2649
Te5 0.6667 0.3333 0.7351
Te6 0.6667 0.3333 0.9316

The 6 most intense peaks (2θ from 10° to 90°), in order of rising 2θ:
3.993 Å, 22.26°, I = 100; 3.308 Å, 26.95°, I = 70; 2.629 Å, 34.10°, I = 30; 2.413 Å, 37.27°, I = 56; 2.272 Å, 39.68°, I = 47; 1.648 Å, 55.80°, I = 19



Entry 2:
Computed powder diffractogram of Ce4PdI5 for CuKα, from a crystal structure in Alexandria, relaxed with PBE.

Structure:
a b c (Å): 9.9526 9.9526 9.2071
angles (deg): 101.36 101.36 24.10
Sites, in units of the cell vectors:
Ce1 0.0005 0.0005 0.2101
Ce2 0.3389 0.3389 0.9321
Ce3 0.6611 0.6611 0.0679
Ce4 0.9995 0.9995 0.7899
Pd1 0.5000 0.5000 0.0000
I1 0.1676 0.1676 0.3387
I2 0.1693 0.1693 0.8009
I3 0.5000 0.5000 0.5000
I4 0.8307 0.8307 0.1991
I5 0.8324 0.8324 0.6613

The 6 most intense peaks (2θ from 10° to 90°), in order of rising 2θ:
3.178 Å, 28.08°, I = 59; 3.084 Å, 28.95°, I = 100; 2.240 Å, 40.26°, I = 40; 2.187 Å, 41.28°, I = 37; 2.078 Å, 43.55°, I = 18; 1.739 Å, 52.62°, I = 20



Entry 3:
Computed powder diffractogram of PmDySbSe for CuKα, from a crystal structure in Alexandria, relaxed with PBE.

Structure:
a b c (Å): 4.3200 4.3200 6.0561
angles (deg): 90.00 90.00 90.00
Sites, in units of the cell vectors:
Pm1 0.0000 0.0000 0.0000
Dy1 0.5000 0.5000 0.5000
Sb1 0.5000 0.5000 0.0000
Se1 0.0000 0.0000 0.5000

The 6 most intense peaks (2θ from 10° to 90°), in order of rising 2θ:
3.055 Å, 29.24°, I = 100; 3.028 Å, 29.50°, I = 49; 2.160 Å, 41.82°, I = 38; 2.151 Å, 42.01°, I = 75; 1.758 Å, 52.00°, I = 40; 1.245 Å, 76.50°, I = 25



Entry 4:
Computed powder diffractogram of Li5ErAg6 for CuKα, from a crystal structure in Alexandria, relaxed with PBE.

Structure:
a b c (Å): 7.2343 7.2343 6.7466
angles (deg): 90.06 90.06 143.10
Sites, in units of the cell vectors:
Li1 0.0000 0.0000 0.0000
Li2 0.3274 0.6726 0.5000
Li3 0.3390 0.6610 0.0000
Li4 0.6610 0.3390 0.0000
Li5 0.6726 0.3274 0.5000
Er1 0.0000 0.0000 0.5000
Ag1 0.1740 0.8264 0.2315
Ag2 0.1736 0.8260 0.7685
Ag3 0.4993 0.4993 0.2265
Ag4 0.5007 0.5007 0.7735
Ag5 0.8264 0.1740 0.2315
Ag6 0.8260 0.1736 0.7685

The 6 most intense peaks (2θ from 10° to 90°), in order of rising 2θ:
3.373 Å, 26.42°, I = 21; 3.236 Å, 27.56°, I = 41; 2.918 Å, 30.64°, I = 16; 2.335 Å, 38.55°, I = 100; 2.289 Å, 39.37°, I = 49; 1.329 Å, 70.88°, I = 22



Entry 5:
Computed powder diffractogram of Sc2NbMoCl for CuKα, from a crystal structure in Alexandria, relaxed with PBE.

Structure:
a b c (Å): 4.6877 4.6877 4.4877
angles (deg): 90.00 90.00 90.00
Sites, in units of the cell vectors:
Sc1 0.0000 0.5000 0.0000
Sc2 0.5000 0.0000 0.0000
Nb1 0.0000 0.0000 0.5000
Mo1 0.5000 0.5000 0.5000
Cl1 0.5000 0.5000 0.0000

The 6 most intense peaks (2θ from 10° to 90°), in order of rising 2θ:
3.315 Å, 26.90°, I = 29; 2.666 Å, 33.61°, I = 100; 2.344 Å, 38.41°, I = 57; 2.244 Å, 40.19°, I = 25; 1.621 Å, 56.80°, I = 34; 1.408 Å, 66.42°, I = 26



Entry 6:
Computed powder diffractogram of HfTaReOs for CuKα, from a crystal structure in Alexandria, relaxed with PBE.

Structure:
a b c (Å): 6.4494 6.4494 6.4494
angles (deg): 90.00 90.00 90.00
Sites, in units of the cell vectors:
Hf1 0.0000 0.0000 0.0000
Hf2 0.0000 0.5000 0.5000
Hf3 0.5000 0.0000 0.5000
Hf4 0.5000 0.5000 0.0000
Ta1 0.0000 0.0000 0.5000
Ta2 0.0000 0.5000 0.0000
Ta3 0.5000 0.0000 0.0000
Ta4 0.5000 0.5000 0.5000
Re1 0.2500 0.2500 0.7500
Re2 0.2500 0.7500 0.2500
Re3 0.7500 0.2500 0.2500
Re4 0.7500 0.7500 0.7500
Os1 0.2500 0.2500 0.2500
Os2 0.2500 0.7500 0.7500
Os3 0.7500 0.2500 0.7500
Os4 0.7500 0.7500 0.2500

The 4 most intense peaks (2θ from 10° to 90°), in order of rising 2θ:
2.280 Å, 39.52°, I = 100; 1.612 Å, 57.13°, I = 17; 1.316 Å, 71.69°, I = 35; 1.140 Å, 85.09°, I = 11